Entry 1:
Starting from DFT lattice parameters and positions (PBE), the PXRD pattern of SmPu3Ir2 was simulated for Cu Kα, 1.54184 Å.
Intensities are scaled so that the largest is 100.

abc: 4.0006 8.7418 8.0308
angles: 90.00 90.00 90.00
Space group Pmc2_1 (No. 26)
Unique sites:
1 Sm 0.0000 0.0846 0.0000 x2
2 Pu 0.0000 0.3018 0.5982 x2
3 Pu 0.5000 0.1976 0.3335 x2
4 Pu 0.5000 0.4259 0.9335 x2
5 Ir 0.0000 0.3902 0.2073 x2
6 Ir 0.5000 0.1149 0.7242 x2

Most intense lines, 15 to 90 degrees two-theta, sorted by position:
hkl 1 0 2, 2.834 Å, I = 68
hkl 1 2 1, 2.770 Å, I = 68
hkl 0 3 1, 2.739 Å, I = 45
hkl 1 1 2, 2.696 Å, I = 100
hkl 0 1 3, 2.560 Å, I = 25
hkl 1 3 0, 2.356 Å, I = 53
hkl 0 2 3, 2.283 Å, I = 45
hkl 1 3 1, 2.260 Å, I = 59
hkl 2 0 0, 2.000 Å, I = 44
hkl 1 1 5, 1.469 Å, I = 26

***

Entry 2:
Starting from DFT lattice parameters and positions (PBE), the PXRD pattern of MgSc4In3 was simulated for Cu Kα, 1.54184 Å.
Intensities are scaled so that the largest is 100.

abc: 10.2506 6.6897 5.2496
angles: 90.00 90.00 90.00
Space group Pmma (No. 51)
Unique sites:
1 Mg 0.0000 0.0000 0.0000 x2
2 Sc 0.0000 0.2499 0.5000 x4
3 Sc 0.2500 0.2511 0.0968 x4
4 In 0.0000 0.5000 0.0000 x2
5 In 0.2500 0.0000 0.6057 x2
6 In 0.2500 0.5000 0.6005 x2

Most intense lines, 15 to 90 degrees two-theta, sorted by position:
hkl 2 0 1, 3.667 Å, I = 16
hkl 1 2 1, 2.720 Å, I = 20
hkl 0 0 2, 2.625 Å, I = 13
hkl 4 0 0, 2.563 Å, I = 35
hkl 1 0 2, 2.543 Å, I = 21
hkl 2 2 1, 2.471 Å, I = 100
hkl 3 2 1, 2.176 Å, I = 13
hkl 3 0 2, 2.082 Å, I = 12
hkl 6 2 1, 1.461 Å, I = 18
hkl 4 4 0, 1.401 Å, I = 10

***

Entry 3:
Starting from DFT lattice parameters and positions (PBE), the PXRD pattern of LiBPb2S4 was simulated for Cu Kα, 1.54184 Å.
Intensities are scaled so that the largest is 100.

abc: 13.7731 9.6252 8.7079
angles: 90.00 128.37 90.00
Space group C2/c (No. 15)
Unique sites:
1 Li 0.2500 0.2500 0.0000 x4
2 B 0.0000 0.0000 0.0000 x4
3 Pb 0.0000 0.5000 0.0000 x4
4 Pb 0.2500 0.2500 0.5000 x4
5 S 0.0024 0.1710 0.0424 x8
6 S 0.1781 0.4750 0.9244 x8

Most intense lines, 15 to 90 degrees two-theta, sorted by position:
hkl 1 1 1, 4.164 Å, I = 34
hkl 3 1 -1, 4.120 Å, I = 34
hkl 2 2 0, 3.593 Å, I = 92
hkl 0 0 2, 3.414 Å, I = 95
hkl 4 0 -2, 3.365 Å, I = 100
hkl 2 2 -2, 3.229 Å, I = 63
hkl 1 3 0, 3.076 Å, I = 45
hkl 4 0 0, 2.700 Å, I = 42
hkl 3 3 -2, 2.504 Å, I = 31
hkl 2 2 2, 2.082 Å, I = 31

***

Entry 4:
Starting from DFT lattice parameters and positions (PBE), the PXRD pattern of Er2HO3 was simulated for Cu Kα, 1.54184 Å.
Intensities are scaled so that the largest is 100.

abc: 8.7464 3.3004 9.0260
angles: 90.00 90.00 90.00
Space group Pnma (No. 62)
Unique sites:
1 Er 0.0111 0.2500 0.1773 x4
2 Er 0.1827 0.2500 0.4943 x4
3 H 0.2045 0.7500 0.1965 x4
4 O 0.0391 0.7500 0.3769 x4
5 O 0.1220 0.2500 0.9461 x4
6 O 0.2342 0.7500 0.7065 x4

Most intense lines, 15 to 90 degrees two-theta, sorted by position:
hkl 2 0 2, 3.141 Å, I = 100
hkl 0 1 1, 3.100 Å, I = 60
hkl 1 1 1, 2.922 Å, I = 72
hkl 1 0 3, 2.845 Å, I = 92
hkl 3 0 1, 2.774 Å, I = 86
hkl 1 1 2, 2.548 Å, I = 55
hkl 2 1 1, 2.529 Å, I = 42
hkl 1 1 3, 2.155 Å, I = 54
hkl 3 1 2, 1.967 Å, I = 51
hkl 1 1 4, 1.822 Å, I = 45

***

Entry 5:
Starting from DFT lattice parameters and positions (PBE), the PXRD pattern of Rb2TiOsI6 was simulated for Cu Kα, 1.54184 Å.
Intensities are scaled so that the largest is 100.

abc: 8.0326 8.0326 11.2469
angles: 90.00 90.00 90.00
Space group I4/mmm (No. 139)
Unique sites:
1 Rb 0.0000 0.5000 0.2500 x4
2 Ti 0.0000 0.0000 0.0000 x2
3 Os 0.0000 0.0000 0.5000 x2
4 I 0.0000 0.0000 0.2544 x4
5 I 0.2445 0.2445 0.5000 x8

Most intense lines, 15 to 90 degrees two-theta, sorted by position:
hkl 1 1 0, 5.680 Å, I = 39
hkl 2 0 2, 3.268 Å, I = 100
hkl 2 2 0, 2.840 Å, I = 96
hkl 0 0 4, 2.812 Å, I = 47
hkl 3 1 0, 2.538 Å, I = 20
hkl 4 0 0, 2.008 Å, I = 35
hkl 2 2 4, 1.998 Å, I = 69
hkl 4 2 2, 1.711 Å, I = 29
hkl 4 0 4, 1.634 Å, I = 36
hkl 6 2 4, 1.157 Å, I = 23

***

Entry 6:
Starting from DFT lattice parameters and positions (PBE), the PXRD pattern of Na2Hg2Pb was simulated for Cu Kα, 1.54184 Å.
Intensities are scaled so that the largest is 100.

abc: 4.5655 4.5655 13.7378
angles: 90.00 90.00 90.00
Space group I4/mmm (No. 139)
Unique sites:
1 Na 0.0000 0.5000 0.2500 x4
2 Hg 0.0000 0.0000 0.1042 x4
3 Pb 0.0000 0.0000 0.5000 x2

Most intense lines, 15 to 90 degrees two-theta, sorted by position:
hkl 1 1 0, 3.231 Å, I = 100
hkl 1 1 2, 2.922 Å, I = 35
hkl 1 0 5, 2.354 Å, I = 61
hkl 2 0 0, 2.283 Å, I = 30
hkl 2 1 3, 1.865 Å, I = 20
hkl 2 1 5, 1.639 Å, I = 37
hkl 2 2 0, 1.614 Å, I = 11
hkl 3 1 0, 1.444 Å, I = 15
hkl 3 0 5, 1.331 Å, I = 11
hkl 3 2 5, 1.150 Å, I = 12

***

Entry 7:
Starting from DFT lattice parameters and positions (PBE), the PXRD pattern of Sr6In3Hg was simulated for Cu Kα, 1.54184 Å.
Intensities are scaled so that the largest is 100.

abc: 10.0903 5.8108 13.2396
angles: 90.00 111.26 90.00
Space group P2_1/m (No. 11)
Unique sites:
1 Sr 0.0198 0.2500 0.4152 x2
2 Sr 0.1673 0.7500 0.1643 x2
3 Sr 0.2533 0.2500 0.9984 x2
4 Sr 0.3411 0.7500 0.8240 x2
5 Sr 0.3705 0.2500 0.3570 x2
6 Sr 0.3785 0.2500 0.6411 x2
7 In 0.0250 0.7500 0.8691 x2
8 In 0.0831 0.2500 0.7193 x2
9 In 0.2615 0.7500 0.4703 x2
10 Hg 0.4549 0.7500 0.0944 x2

Most intense lines, 15 to 90 degrees two-theta, sorted by position:
hkl 1 1 -2, 4.276 Å, I = 5
hkl 2 0 -4, 3.157 Å, I = 12
hkl 0 2 0, 2.901 Å, I = 100
hkl 3 1 -2, 2.885 Å, I = 9
hkl 2 1 -4, 2.774 Å, I = 12
hkl 2 2 -4, 2.138 Å, I = 8
hkl 1 3 3, 1.677 Å, I = 8
hkl 3 3 -1, 1.675 Å, I = 10
hkl 4 2 2, 1.631 Å, I = 5
hkl 1 5 3, 1.098 Å, I = 5

***

Entry 8:
Starting from DFT lattice parameters and positions (PBE), the PXRD pattern of Ba3Cl2 was simulated for Cu Kα, 1.54184 Å.
Intensities are scaled so that the largest is 100.

abc: 13.2576 13.5447 9.4193
angles: 90.00 90.00 90.00
Space group Fdd2 (No. 43)
Unique sites:
1 Ba 0.0000 0.0000 0.0000 x8
2 Ba 0.0550 0.3147 0.8588 x16
3 Cl 0.0469 0.3773 0.1939 x16

Most intense lines, 15 to 90 degrees two-theta, sorted by position:
hkl 1 3 1, 3.892 Å, I = 96
hkl 0 2 2, 3.867 Å, I = 65
hkl 3 1 1, 3.838 Å, I = 100
hkl 3 3 1, 2.994 Å, I = 59
hkl 4 2 0, 2.979 Å, I = 89
hkl 3 1 3, 2.516 Å, I = 40
hkl 4 4 2, 2.116 Å, I = 28
hkl 2 2 4, 2.109 Å, I = 29
hkl 5 1 3, 2.003 Å, I = 30
hkl 2 0 6, 1.527 Å, I = 26

***

- Number 3 is which compound?
  LiBPb2S4